Structure and theoretical powder diffraction line list of ZrInAg (DFT lattice parameters and positions (PBE); Cu Kα).
Peak positions follow from Bragg's law for the DFT cell and can differ from measured ones.

The 10 most intense peaks (10° ≤ 2θ ≤ 90°), in order of falling intensity:
- 2θ 36.41, I 100
- 2θ 39.90, I 66
- 2θ 34.91, I 54
- 2θ 34.50, I 40
- 2θ 43.99, I 22
- 2θ 61.15, I 16
- 2θ 37.39, I 15
- 2θ 38.83, I 15
- 2θ 60.47, I 13
- 2θ 60.03, I 12

Cell: 5.3193 3.0824 7.7747 Å, 90.00 97.33 90.00°
Fractional positions:
Zr: 0.2313 0.0000 0.3539
Zr: 0.7687 0.0000 0.6461
In: 0.2775 0.5000 0.7020
In: 0.7225 0.5000 0.2980
Ag: 0.0000 0.5000 0.0000
Ag: 0.5000 0.0000 0.0000

***

Structure and theoretical powder diffraction line list of Zr4In5Ag (DFT lattice parameters and positions (PBE); Cu Kα).
Peak positions follow from Bragg's law for the DFT cell and can differ from measured ones.

The 10 most intense peaks (10° ≤ 2θ ≤ 90°), in order of falling intensity:
- 2θ 35.06, I 100
- 2θ 39.94, I 35
- 2θ 69.39, I 26
- 2θ 59.52, I 19
- 2θ 42.22, I 14
- 2θ 57.76, I 12
- 2θ 74.10, I 10
- 2θ 72.57, I 9
- 2θ 86.16, I 4
- 2θ 37.82, I 2

Cell: 3.1925 3.1925 21.4030 Å, 90.00 90.00 90.00°
Fractional positions:
Zr: 0.0000 0.0000 0.1023
Zr: 0.0000 0.0000 0.3068
Zr: 0.0000 0.0000 0.6932
Zr: 0.0000 0.0000 0.8977
In: 0.5000 0.5000 0.0000
In: 0.5000 0.5000 0.2042
In: 0.5000 0.5000 0.4072
In: 0.5000 0.5000 0.5928
In: 0.5000 0.5000 0.7958
Ag: 0.0000 0.0000 0.5000

***

Structure and theoretical powder diffraction line list of Zr5In4Ag (DFT lattice parameters and positions (PBE); Cu Kα).
Peak positions follow from Bragg's law for the DFT cell and can differ from measured ones.

The 10 most intense peaks (10° ≤ 2θ ≤ 90°), in order of falling intensity:
- 2θ 35.10, I 100
- 2θ 40.56, I 34
- 2θ 70.27, I 25
- 2θ 59.16, I 20
- 2θ 41.16, I 15
- 2θ 58.70, I 11
- 2θ 71.10, I 11
- 2θ 74.19, I 10
- 2θ 87.76, I 4
- 2θ 89.34, I 1

Cell: 3.1457 3.1457 21.9322 Å, 90.00 90.00 90.00°
Fractional positions:
Zr: 0.0000 0.0000 0.0000
Zr: 0.0000 0.0000 0.2040
Zr: 0.0000 0.0000 0.4055
Zr: 0.0000 0.0000 0.5945
Zr: 0.0000 0.0000 0.7960
In: 0.5000 0.5000 0.1019
In: 0.5000 0.5000 0.3051
In: 0.5000 0.5000 0.6949
In: 0.5000 0.5000 0.8981
Ag: 0.5000 0.5000 0.5000

***

Structure and theoretical powder diffraction line list of Ag3Ir4 (DFT lattice parameters and positions (PBE); Cu Kα).
Peak positions follow from Bragg's law for the DFT cell and can differ from measured ones.

The 10 most intense peaks (10° ≤ 2θ ≤ 90°), in order of falling intensity:
- 2θ 39.06, I 100
- 2θ 46.19, I 32
- 2θ 80.73, I 24
- 2θ 12.24, I 21
- 2θ 65.57, I 19
- 2θ 43.83, I 16
- 2θ 67.38, I 10
- 2θ 83.92, I 10
- 2θ 77.34, I 10
- 2θ 47.61, I 6

Cell: 14.5903 14.5903 14.5903 Å, 169.07 169.07 15.48°
Fractional positions:
Ag: 0.0000 0.0000 0.0000
Ag: 0.2886 0.2886 0.0000
Ag: 0.7114 0.7114 0.0000
Ir: 0.1362 0.1362 0.0000
Ir: 0.4243 0.4243 0.0000
Ir: 0.5757 0.5757 0.0000
Ir: 0.8638 0.8638 0.0000

***

Structure and theoretical powder diffraction line list of Ag4Ir3 (DFT lattice parameters and positions (PBE); Cu Kα).
Peak positions follow from Bragg's law for the DFT cell and can differ from measured ones.

The 10 most intense peaks (10° ≤ 2θ ≤ 90°), in order of falling intensity:
- 2θ 38.77, I 100
- 2θ 46.21, I 31
- 2θ 80.58, I 23
- 2θ 11.95, I 20
- 2θ 64.74, I 19
- 2θ 42.72, I 17
- 2θ 75.57, I 10
- 2θ 83.18, I 10
- 2θ 67.42, I 10
- 2θ 46.98, I 6

Cell: 14.9472 14.9472 14.9472 Å, 169.34 169.34 15.10°
Fractional positions:
Ag: 0.0716 0.0716 0.0000
Ag: 0.3529 0.3529 0.0000
Ag: 0.6471 0.6471 0.0000
Ag: 0.9284 0.9284 0.0000
Ir: 0.2205 0.2205 0.0000
Ir: 0.5000 0.5000 0.0000
Ir: 0.7795 0.7795 0.0000

***

Structure and theoretical powder diffraction line list of Ag8Ir (DFT lattice parameters and positions (PBE); Cu Kα).
Peak positions follow from Bragg's law for the DFT cell and can differ from measured ones.

The 10 most intense peaks (10° ≤ 2θ ≤ 90°), in order of falling intensity:
- 2θ 37.85, I 100
- 2θ 44.30, I 32
- 2θ 77.23, I 23
- 2θ 63.71, I 20
- 2θ 43.34, I 18
- 2θ 75.86, I 12
- 2θ 80.87, I 10
- 2θ 64.45, I 10
- 2θ 14.44, I 4
- 2θ 23.65, I 1

Cell: 6.4793 6.4793 6.4793 Å, 95.96 95.96 142.41°
Fractional positions:
Ag: 0.0000 0.3300 0.3300
Ag: 0.0000 0.6700 0.6700
Ag: 0.3300 0.0000 0.3300
Ag: 0.3361 0.3361 0.6722
Ag: 0.3361 0.6639 0.0000
Ag: 0.6639 0.3361 0.0000
Ag: 0.6639 0.6639 0.3278
Ag: 0.6700 0.0000 0.6700
Ir: 0.0000 0.0000 0.0000

***

Structure and theoretical powder diffraction line list of AgIr8 (DFT lattice parameters and positions (PBE); Cu Kα).
Peak positions follow from Bragg's law for the DFT cell and can differ from measured ones.

The 10 most intense peaks (10° ≤ 2θ ≤ 90°), in order of falling intensity:
- 2θ 40.02, I 100
- 2θ 46.49, I 32
- 2θ 81.80, I 25
- 2θ 67.99, I 21
- 2θ 46.66, I 16
- 2θ 82.03, I 13
- 2θ 86.37, I 11
- 2θ 67.86, I 10
- 2θ 15.12, I 3
- 2θ 51.15, I 1

Cell: 6.1747 6.1747 6.1747 Å, 95.71 95.71 143.24°
Fractional positions:
Ag: 0.0000 0.0000 0.0000
Ir: 0.0000 0.3369 0.3369
Ir: 0.0000 0.6631 0.6631
Ir: 0.3266 0.3266 0.6532
Ir: 0.3266 0.6734 0.0000
Ir: 0.3369 0.0000 0.3369
Ir: 0.6631 0.0000 0.6631
Ir: 0.6734 0.3266 0.0000
Ir: 0.6734 0.6734 0.3468

***

Structure and theoretical powder diffraction line list of Ag2Ir3 (DFT lattice parameters and positions (PBE); Cu Kα).
Peak positions follow from Bragg's law for the DFT cell and can differ from measured ones.

The 10 most intense peaks (10° ≤ 2θ ≤ 90°), in order of falling intensity:
- 2θ 39.74, I 100
- 2θ 45.69, I 66
- 2θ 37.94, I 36
- 2θ 80.44, I 24
- 2θ 65.37, I 21
- 2θ 67.83, I 21
- 2θ 14.94, I 15
- 2θ 81.58, I 12
- 2θ 78.14, I 12
- 2θ 85.64, I 11

Cell: 11.9652 11.9652 11.9652 Å, 13.26 13.26 13.26°
Fractional positions:
Ag: 0.0985 0.0985 0.0985
Ag: 0.9015 0.9015 0.9015
Ir: 0.3035 0.3035 0.3035
Ir: 0.5000 0.5000 0.5000
Ir: 0.6965 0.6965 0.6965